[1]
Diffraction record for Nd2IrPd. The X-ray powder pattern is computed, not measured: it uses DFT lattice parameters and positions (GGA-PBE) and Cu Kα (weighted mean of Kα1 and Kα2).
Lines closer than 0.1° are merged.

Peak list (9 most intense, 10° ≤ 2θ ≤ 80°, most intense first)
35.5 deg, rel. 100
63.7 deg, rel. 36
51.0 deg, rel. 18
75.0 deg, rel. 11
21.5 deg, rel. 4
41.8 deg, rel. 2
56.0 deg, rel. 1
79.1 deg, rel. 1
68.0 deg, rel. 1

Atomic structure:
Cell lengths 5.0637, 5.0637, 5.0637 Å; angles 60.00, 60.00, 60.00 degrees
Positions (direct):
Nd  0.2500  0.2500  0.2500
Nd  0.7500  0.7500  0.7500
Ir  0.0000  0.0000  0.0000
Pd  0.5000  0.5000  0.5000

[2]
Diffraction record for RbPdF3. The X-ray powder pattern is computed, not measured: it uses DFT lattice parameters and positions (GGA-PBE) and Cu Kα (weighted mean of Kα1 and Kα2).
Lines closer than 0.1° are merged.

Peak list (10 most intense, 10° ≤ 2θ ≤ 80°, most intense first)
29.1 deg, rel. 100
51.5 deg, rel. 40
41.6 deg, rel. 39
60.2 deg, rel. 24
68.2 deg, rel. 18
75.8 deg, rel. 8
20.4 deg, rel. 7
46.7 deg, rel. 3
35.8 deg, rel. 2
64.3 deg, rel. 1

Atomic structure:
Cell lengths 4.3457, 4.3457, 4.3457 Å; angles 90.00, 90.00, 90.00 degrees
Positions (direct):
Rb  0.0000  0.0000  0.0000
Pd  0.5000  0.5000  0.5000
F  0.0000  0.5000  0.5000
F  0.5000  0.0000  0.5000
F  0.5000  0.5000  0.0000

[3]
Diffraction record for Tb2MgS4. The X-ray powder pattern is computed, not measured: it uses DFT lattice parameters and positions (GGA-PBE) and Cu Kα (weighted mean of Kα1 and Kα2).
Lines closer than 0.1° are merged.

Peak list (10 most intense, 10° ≤ 2θ ≤ 80°, most intense first)
35.8 deg, rel. 100
24.4 deg, rel. 93
14.4 deg, rel. 83
36.9 deg, rel. 68
25.8 deg, rel. 55
50.1 deg, rel. 54
29.9 deg, rel. 46
22.7 deg, rel. 45
13.5 deg, rel. 40
22.3 deg, rel. 34

Atomic structure:
Cell lengths 7.9676, 7.2863, 11.4895 Å; angles 90.00, 90.00, 90.00 degrees
Positions (direct):
Tb  0.0411  0.2500  0.1913
Tb  0.0731  0.7500  0.4784
Tb  0.4269  0.2500  0.9784
Tb  0.4589  0.7500  0.6913
Tb  0.5411  0.2500  0.3087
Tb  0.5731  0.7500  0.0216
Tb  0.9269  0.2500  0.5216
Tb  0.9589  0.7500  0.8087
Mg  0.1816  0.7500  0.0914
Mg  0.3184  0.2500  0.5914
Mg  0.6816  0.7500  0.4086
Mg  0.8184  0.2500  0.9086
S  0.1032  0.2500  0.9559
S  0.1306  0.0012  0.6569
S  0.1306  0.4988  0.6569
S  0.2203  0.2500  0.3905
S  0.2797  0.7500  0.8905
S  0.3694  0.5012  0.1569
S  0.3694  0.9988  0.1569
S  0.3968  0.7500  0.4559
S  0.6032  0.2500  0.5441
S  0.6306  0.0012  0.8431
S  0.6306  0.4988  0.8431
S  0.7203  0.2500  0.1095
S  0.7797  0.7500  0.6095
S  0.8694  0.5012  0.3431
S  0.8694  0.9988  0.3431
S  0.8968  0.7500  0.0441

[4]
Diffraction record for Th3Se3O16. The X-ray powder pattern is computed, not measured: it uses DFT lattice parameters and positions (GGA-PBE) and Cu Kα (weighted mean of Kα1 and Kα2).
Lines closer than 0.1° are merged.

Peak list (10 most intense, 10° ≤ 2θ ≤ 80°, most intense first)
27.6 deg, rel. 100
22.7 deg, rel. 69
29.8 deg, rel. 38
11.3 deg, rel. 32
24.5 deg, rel. 31
46.4 deg, rel. 25
19.2 deg, rel. 25
24.7 deg, rel. 23
16.6 deg, rel. 22
15.5 deg, rel. 22

Atomic structure:
Cell lengths 9.7168, 9.7168, 9.7168 Å; angles 107.67, 107.67, 113.13 degrees
Positions (direct):
Th  0.0377  0.2524  0.2901
Th  0.2481  0.2481  0.0000
Th  0.2524  0.9623  0.2147
Th  0.7476  0.0377  0.7853
Th  0.7519  0.7519  0.0000
Th  0.9623  0.7476  0.7099
Se  0.2500  0.7500  0.5000
Se  0.2792  0.6231  0.9023
Se  0.3769  0.2792  0.6561
Se  0.6231  0.7208  0.3439
Se  0.7208  0.3769  0.0977
Se  0.7500  0.2500  0.5000
O  0.0152  0.2464  0.0355
O  0.0203  0.9848  0.2312
O  0.1105  0.7757  0.5532
O  0.1343  0.6151  0.7494
O  0.2022  0.4279  0.8848
O  0.2109  0.9797  0.9645
O  0.2225  0.5572  0.4468
O  0.2243  0.7775  0.3348
O  0.2383  0.3220  0.5602
O  0.2464  0.2109  0.2312
O  0.3174  0.2022  0.7743
O  0.3220  0.7617  0.0837
O  0.3849  0.1343  0.5192
O  0.4279  0.5431  0.2257
O  0.4428  0.8895  0.6652
O  0.4569  0.6826  0.8848
O  0.5431  0.3174  0.1152
O  0.5572  0.1105  0.3348
O  0.5721  0.4569  0.7743
O  0.6151  0.8657  0.4808
O  0.6780  0.2383  0.9163
O  0.6826  0.7978  0.2257
O  0.7536  0.7891  0.7688
O  0.7617  0.6780  0.4398
O  0.7757  0.2225  0.6652
O  0.7775  0.4428  0.5532
O  0.7891  0.0203  0.0355
O  0.7978  0.5721  0.1152
O  0.8657  0.3849  0.2506
O  0.8895  0.2243  0.4468
O  0.9797  0.0152  0.7688
O  0.9848  0.7536  0.9645

[5]
Diffraction record for Sn4OF6. The X-ray powder pattern is computed, not measured: it uses DFT lattice parameters and positions (GGA-PBE) and Cu Kα (weighted mean of Kα1 and Kα2).
Lines closer than 0.1° are merged.

Peak list (10 most intense, 10° ≤ 2θ ≤ 80°, most intense first)
25.0 deg, rel. 100
24.4 deg, rel. 80
26.1 deg, rel. 49
28.1 deg, rel. 42
26.7 deg, rel. 29
45.4 deg, rel. 29
42.8 deg, rel. 21
55.6 deg, rel. 20
13.4 deg, rel. 19
37.2 deg, rel. 18

Atomic structure:
Cell lengths 5.1276, 10.9339, 16.5833 Å; angles 90.00, 90.00, 90.00 degrees
Positions (direct):
Sn  0.0339  0.0916  0.4822
Sn  0.0358  0.2986  0.3154
Sn  0.0376  0.9704  0.8096
Sn  0.1293  0.6949  0.4101
Sn  0.3707  0.3051  0.9101
Sn  0.4624  0.0296  0.3096
Sn  0.4642  0.7014  0.8154
Sn  0.4661  0.9084  0.9822
Sn  0.5339  0.4084  0.5178
Sn  0.5358  0.2014  0.6846
Sn  0.5376  0.5296  0.1904
Sn  0.6293  0.8051  0.5899
Sn  0.8707  0.1949  0.0899
Sn  0.9624  0.4704  0.6904
Sn  0.9642  0.7986  0.1846
Sn  0.9661  0.5916  0.0178
O  0.1751  0.1353  0.3666
O  0.3249  0.8647  0.8666
O  0.6751  0.3647  0.6334
O  0.8249  0.6353  0.1334
F  0.1344  0.2063  0.2036
F  0.1390  0.7699  0.0386
F  0.1581  0.4751  0.5770
F  0.1609  0.2810  0.7055
F  0.1967  0.8798  0.3790
F  0.2340  0.2339  0.0347
F  0.2660  0.7661  0.5347
F  0.3033  0.1202  0.8790
F  0.3391  0.7190  0.2055
F  0.3419  0.5249  0.0770
F  0.3610  0.2301  0.5386
F  0.3656  0.7937  0.7036
F  0.6344  0.2937  0.7964
F  0.6390  0.7301  0.9614
F  0.6581  0.0249  0.4230
F  0.6609  0.2190  0.2945
F  0.6967  0.6202  0.6210
F  0.7340  0.2661  0.9653
F  0.7660  0.7339  0.4653
F  0.8033  0.3798  0.1210
F  0.8391  0.7810  0.7945
F  0.8419  0.9751  0.9230
F  0.8610  0.2699  0.4614
F  0.8656  0.7063  0.2964